Structure and calculated X-ray powder pattern of Rb7GdFe6P8O34 (a DFT-relaxed cell (PBE+U, Alexandria); CuKα).

Peak list (10 most intense, 2θ = 15–90°, by angle)
Position (°2θ)  I_rel  (hkl)
25.02  49  1 -2 2
26.32  58  1 2 0
27.74  84  2 1 -1
28.19  62  -1 1 3
29.21  100  -2 3 1
29.46  61  2 -3 1
29.74  61  -3 1 1
30.19  58  1 1 -3
31.57  45  3 -1 1
33.31  25  1 2 2

Crystal structure
```
data_Rb7GdFe6P8O34
_space_group_name_H-M_alt 'P -1'
_space_group_IT_number 2
_space_group_name_Hall '-P 1'
_cell_length_a 9.2835
_cell_length_b 10.0567
_cell_length_c 10.1504
_cell_angle_alpha 91.14
_cell_angle_beta 95.53
_cell_angle_gamma 115.90
loop_
_atom_site_label
_atom_site_type_symbol
_atom_site_fract_x
_atom_site_fract_y
_atom_site_fract_z
Rb1 Rb 0.0000 0.0000 0.0000
Rb2 Rb 0.1259 0.9758 0.3763
Rb3 Rb 0.1851 0.4431 0.9100
Rb4 Rb 0.4253 0.8010 0.6537
Gd1 Gd 0.0000 0.5000 0.5000
Fe1 Fe 0.3370 0.1022 0.7565
Fe2 Fe 0.3404 0.4216 0.2828
Fe3 Fe 0.3403 0.8891 0.0294
P1 P 0.0564 0.7613 0.7718
P2 P 0.2967 0.7257 0.3000
P3 P 0.3008 0.3400 0.5771
P4 P 0.4055 0.2248 0.0438
O1 O 0.0798 0.6345 0.7034
O2 O 0.1200 0.7830 0.9224
O3 O 0.1230 0.2661 0.2357
O4 O 0.1449 0.9077 0.7015
O5 O 0.1730 0.3991 0.5577
O6 O 0.1986 0.7075 0.4190
O7 O 0.2216 0.1810 0.6292
O8 O 0.2298 0.7916 0.1867
O9 O 0.2730 0.5708 0.2463
O10 O 0.3091 0.2140 0.9052
O11 O 0.3195 0.0754 0.1096
O12 O 0.3599 0.3231 0.4412
O13 O 0.4035 0.3534 0.1271
O14 O 0.4145 0.7369 0.9662
O15 O 0.4319 0.0101 0.8752
O16 O 0.4374 0.4419 0.6828
O17 O 0.4763 0.8325 0.3499
```